This entry pairs a crystal structure of LiTaO3 with its calculated X-ray powder pattern. Radiation: Cu Kα (weighted mean of Kα1 and Kα2). Structure: a DFT-relaxed cell (GGA-PBE, the Materials Project).
Peak positions follow from Bragg's law for the DFT cell and can differ from measured ones.

Cell and atoms:
a = 5.117 Å, b = 8.835 Å, c = 4.750 Å
α = 90.00°, β = 90.00°, γ = 90.00°
Fractional coordinates of all 20 atoms:
Li (0.000, 0.000, 0.000)
Li (0.000, 0.500, 0.000)
Li (0.500, 0.000, 0.500)
Li (0.500, 0.500, 0.500)
Ta (0.051, 0.250, 0.442)
Ta (0.449, 0.750, 0.942)
Ta (0.551, 0.250, 0.058)
Ta (0.949, 0.750, 0.558)
O (0.120, 0.750, 0.199)
O (0.207, 0.606, 0.711)
O (0.207, 0.894, 0.711)
O (0.293, 0.106, 0.211)
O (0.293, 0.394, 0.211)
O (0.380, 0.250, 0.699)
O (0.620, 0.750, 0.301)
O (0.707, 0.606, 0.789)
O (0.707, 0.894, 0.789)
O (0.793, 0.106, 0.289)
O (0.793, 0.394, 0.289)
O (0.880, 0.250, 0.801)

Principal peaks in the range 10° ≤ 2θ ≤ 90°, in order of rising 2θ:
| Position (°2θ) | d_spacing | I/Imax |
| --- | --- | --- |
| 20.1 | 4.417 | 100 |
| 21.2 | 4.183 | 25 |
| 25.6 | 3.481 | 77 |
| 32.8 | 2.734 | 90 |
| 40.8 | 2.214 | 21 |
| 43.2 | 2.093 | 38 |
| 48.8 | 1.865 | 26 |
| 52.6 | 1.739 | 21 |
| 56.9 | 1.618 | 15 |
| 58.4 | 1.579 | 17 |



This entry pairs a crystal structure of Li3TaO4 with its calculated X-ray powder pattern. Radiation: Cu Kα (weighted mean of Kα1 and Kα2). Structure: a DFT-relaxed cell (GGA-PBE, the Materials Project).
Peak positions follow from Bragg's law for the DFT cell and can differ from measured ones.

Cell and atoms:
a = 6.080 Å, b = 6.080 Å, c = 9.399 Å
α = 108.68°, β = 108.68°, γ = 90.08°
Fractional coordinates of all 32 atoms:
Li (0.061, 0.855, 0.875)
Li (0.068, 0.307, 0.885)
Li (0.145, 0.939, 0.625)
Li (0.195, 0.443, 0.636)
Li (0.307, 0.068, 0.385)
Li (0.443, 0.195, 0.136)
Li (0.557, 0.805, 0.864)
Li (0.693, 0.932, 0.615)
Li (0.805, 0.557, 0.364)
Li (0.855, 0.061, 0.375)
Li (0.932, 0.693, 0.115)
Li (0.939, 0.145, 0.125)
Ta (0.280, 0.562, 0.375)
Ta (0.438, 0.720, 0.125)
Ta (0.562, 0.280, 0.875)
Ta (0.720, 0.438, 0.625)
O (0.072, 0.321, 0.368)
O (0.079, 0.801, 0.382)
O (0.199, 0.921, 0.118)
O (0.212, 0.458, 0.138)
O (0.321, 0.072, 0.868)
O (0.333, 0.552, 0.888)
O (0.448, 0.667, 0.612)
O (0.458, 0.212, 0.638)
O (0.542, 0.788, 0.362)
O (0.552, 0.333, 0.388)
O (0.667, 0.448, 0.112)
O (0.679, 0.928, 0.132)
O (0.788, 0.542, 0.862)
O (0.801, 0.079, 0.882)
O (0.921, 0.199, 0.618)
O (0.928, 0.679, 0.632)

Principal peaks in the range 10° ≤ 2θ ≤ 90°, in order of rising 2θ:
| Position (°2θ) | d_spacing | I/Imax |
| --- | --- | --- |
| 15.5 | 5.719 | 95 |
| 21.6 | 4.118 | 81 |
| 23.3 | 3.823 | 100 |
| 30.5 | 2.932 | 34 |
| 33.4 | 2.684 | 48 |
| 36.5 | 2.464 | 15 |
| 38.4 | 2.344 | 19 |
| 42.0 | 2.149 | 39 |
| 43.2 | 2.095 | 20 |
| 48.6 | 1.874 | 23 |



This entry pairs a crystal structure of LiTbO2 with its calculated X-ray powder pattern. Radiation: Cu Kα (weighted mean of Kα1 and Kα2). Structure: a DFT-relaxed cell (GGA-PBE, the Materials Project).
Peak positions follow from Bragg's law for the DFT cell and can differ from measured ones.

Cell and atoms:
a = 11.309 Å, b = 3.414 Å, c = 5.343 Å
α = 90.00°, β = 90.00°, γ = 90.00°
Fractional coordinates of all 16 atoms:
Li (0.066, 0.250, 0.097)
Li (0.434, 0.750, 0.597)
Li (0.566, 0.250, 0.403)
Li (0.934, 0.750, 0.903)
Tb (0.141, 0.750, 0.546)
Tb (0.359, 0.250, 0.046)
Tb (0.641, 0.750, 0.954)
Tb (0.859, 0.250, 0.454)
O (0.027, 0.250, 0.742)
O (0.205, 0.250, 0.307)
O (0.295, 0.750, 0.807)
O (0.473, 0.750, 0.242)
O (0.527, 0.250, 0.758)
O (0.705, 0.250, 0.193)
O (0.795, 0.750, 0.693)
O (0.973, 0.750, 0.258)

Principal peaks in the range 10° ≤ 2θ ≤ 90°, in order of rising 2θ:
| Position (°2θ) | d_spacing | I/Imax |
| --- | --- | --- |
| 18.4 | 4.831 | 100 |
| 29.0 | 3.080 | 71 |
| 30.6 | 2.923 | 60 |
| 31.6 | 2.827 | 23 |
| 32.1 | 2.788 | 72 |
| 39.4 | 2.287 | 20 |
| 46.0 | 1.972 | 41 |
| 46.8 | 1.942 | 19 |
| 51.4 | 1.778 | 32 |
| 62.2 | 1.493 | 16 |



This entry pairs a crystal structure of Li8TbO6 with its calculated X-ray powder pattern. Radiation: Cu Kα (weighted mean of Kα1 and Kα2). Structure: a DFT-relaxed cell (GGA-PBE, the Materials Project).
Peak positions follow from Bragg's law for the DFT cell and can differ from measured ones.

Cell and atoms:
a = 6.307 Å, b = 6.307 Å, c = 6.307 Å
α = 53.15°, β = 53.15°, γ = 53.15°
Fractional coordinates of all 15 atoms:
Li (0.007, 0.727, 0.398)
Li (0.147, 0.147, 0.147)
Li (0.273, 0.602, 0.993)
Li (0.398, 0.007, 0.727)
Li (0.602, 0.993, 0.273)
Li (0.727, 0.398, 0.007)
Li (0.853, 0.853, 0.853)
Li (0.993, 0.273, 0.602)
Tb (0.500, 0.500, 0.500)
O (0.102, 0.399, 0.743)
O (0.257, 0.898, 0.601)
O (0.399, 0.743, 0.102)
O (0.601, 0.257, 0.898)
O (0.743, 0.102, 0.399)
O (0.898, 0.601, 0.257)

Principal peaks in the range 10° ≤ 2θ ≤ 90°, in order of rising 2θ:
| Position (°2θ) | d_spacing | I/Imax |
| --- | --- | --- |
| 16.4 | 5.400 | 39 |
| 19.0 | 4.679 | 100 |
| 21.2 | 4.185 | 84 |
| 28.6 | 3.119 | 33 |
| 33.2 | 2.701 | 29 |
| 35.9 | 2.501 | 64 |
| 37.2 | 2.416 | 18 |
| 43.2 | 2.092 | 23 |
| 46.6 | 1.951 | 48 |
| 50.7 | 1.801 | 20 |